Sr6Ca3Mg: computed X-ray diffraction stick pattern (a wavelength of 1.5418 Å), based on a cell relaxed with GGA-PBE.
Kinematic intensities with the Lorentz-polarization factor, no thermal factor.

Structure:
Unit cell a=10.8066 b=6.5691 c=14.3413 alpha=90.00 beta=111.78 gamma=90.00
Space group P2_1/m (No. 11)
Asymmetric unit:
Sr1 0.0291 0.2500 0.4233 x2
Sr2 0.1753 0.7500 0.1665 x2
Sr3 0.2636 0.2500 0.0142 x2
Sr4 0.3448 0.2500 0.3320 x2
Sr5 0.3604 0.7500 0.8033 x2
Sr6 0.4223 0.2500 0.6421 x2
Ca1 0.0452 0.7500 0.8752 x2
Ca2 0.1139 0.2500 0.7262 x2
Ca3 0.2683 0.7500 0.4725 x2
Mg1 0.4602 0.7500 0.0820 x2

Largest 8 diffraction maxima, low angle first, 2θ = 5–70°:
2theta  I (rel.)  h k l
18.7  22  1 1 -2
26.1  31  2 0 -4
27.1  67  0 2 0
28.3  100  1 1 3
28.4  93  3 1 -1
29.4  43  2 1 -4
38.0  23  2 2 -4
48.7  41  1 3 3

---

Nd5SmAl2: computed X-ray diffraction stick pattern (a wavelength of 1.5418 Å), based on a cell relaxed with GGA-PBE.
Kinematic intensities with the Lorentz-polarization factor, no thermal factor.

Structure:
Unit cell a=3.7019 b=10.7109 c=12.3825 alpha=90.00 beta=90.00 gamma=90.00
Space group Immm (No. 71)
Asymmetric unit:
Nd1 0.0000 0.0000 0.0000 x2
Nd2 0.0000 0.2825 0.3579 x8
Sm1 0.0000 0.5000 0.0000 x2
Al1 0.0000 0.0000 0.2756 x4

Largest 8 diffraction maxima, low angle first, 2θ = 5–70°:
2theta  I (rel.)  h k l
21.9  36  0 2 2
30.2  100  1 2 1
32.5  76  1 0 3
33.4  95  0 2 4
47.3  36  1 4 3
49.2  21  2 0 0
60.5  28  1 2 7
60.8  34  2 2 4

---

Nd7HoTm3: computed X-ray diffraction stick pattern (a wavelength of 1.5418 Å), based on a cell relaxed with GGA-PBE.
Kinematic intensities with the Lorentz-polarization factor, no thermal factor.

Structure:
Unit cell a=19.2385 b=7.1761 c=12.5964 alpha=90.00 beta=116.45 gamma=90.00
Space group C2/c (No. 15)
Asymmetric unit:
Nd1 0.0000 0.2106 0.2500 x4
Nd2 0.1582 0.4941 0.7728 x8
Nd3 0.1663 0.2466 0.0254 x8
Nd4 0.1678 0.2478 0.5284 x8
Ho1 0.0000 0.0000 0.0000 x4
Tm1 0.0000 0.5000 0.0000 x4
Tm2 0.1714 0.0035 0.2742 x8

Largest 8 diffraction maxima, low angle first, 2θ = 5–70°:
2theta  I (rel.)  h k l
28.8  23  2 2 -2
29.5  20  0 2 2
31.2  51  6 0 0
31.8  100  0 0 4
33.2  32  6 0 -4
33.6  54  2 2 2
50.4  26  4 2 -6
60.7  15  2 2 6

---

LiNi3N: computed X-ray diffraction stick pattern (a wavelength of 1.5418 Å), based on a cell relaxed with GGA-PBE.
Kinematic intensities with the Lorentz-polarization factor, no thermal factor.

Structure:
Unit cell a=5.1526 b=5.1526 c=13.7044 alpha=90.00 beta=90.00 gamma=120.00
Space group R-3m (No. 166, hexagonal axes)
Asymmetric unit:
Li1 0.0000 0.0000 0.0957 x6
Ni1 0.0034 0.5017 0.0879 x18
N1 0.0000 0.0000 0.3289 x6

Largest 8 diffraction maxima, low angle first, 2θ = 5–70°:
2theta  I (rel.)  h k l
20.9  78  1 0 1
23.8  18  0 1 2
39.5  47  0 0 6
41.0  100  0 2 1
42.6  23  2 0 2
48.7  34  0 2 4
52.9  63  2 0 5
63.2  22  0 2 7